# Rb2BaNiBr8
Theoretical X-ray diffraction stick pattern, copper Kα. Input: a GGA-PBE-relaxed structure.
Kinematic intensities with the Lorentz-polarization factor, no thermal factor.

Cell and atoms:
```
12
Lattice="7.411 0.000 0.000 -3.705 6.418 0.000 0.000 0.000 8.411" Properties=species:S:1:pos:R:3 pbc="T T T"
Rb 0.000 4.279 2.979
Rb 3.705 2.139 5.432
Ba 0.000 0.000 0.000
Ni 0.000 0.000 4.206
Br 0.000 1.961 5.670
Br -2.007 5.437 5.670
Br 1.699 0.981 2.741
Br 0.000 4.279 8.090
Br 3.705 2.139 0.321
Br 2.007 5.437 5.670
Br 5.712 0.981 2.741
Br 3.705 4.457 2.741
```

Principal peaks in the range 5° ≤ 2θ ≤ 70°, low angle first:
| 2θ (°) | Rel. int. | (hkl) |
| --- | --- | --- |
| 13.80 | 33 | 1 0 0 |
| 24.02 | 52 | 1 1 0 |
| 26.28 | 21 | 1 1 1 |
| 29.80 | 94 | 2 0 1 |
| 31.92 | 40 | 0 0 3 |
| 32.20 | 50 | 1 1 2 |
| 35.18 | 100 | 0 2 2 |
| 49.18 | 48 | 2 2 0 |
| 59.84 | 35 | 2 2 3 |
| 61.89 | 20 | 4 0 2 |